[1]
The following is a simulated XRD peak list of Dy2ThPd. It was derived from a crystal structure in Alexandria, relaxed with PBE, using Cu Ka.
No peak broadening, texture or thermal motion is included.

Atomic structure:
```
Dy2ThPd
1.0
6.9775 0.0000 0.0000
0.0000 9.8820 0.0000
0.0000 0.0000 6.5340
Dy Th Pd
8 4 4
Cartesian
1.3116 0.5892 1.0676
1.3116 4.3517 1.0676
2.1772 5.5302 4.3346
2.1772 9.2927 4.3346
4.8003 0.5892 2.1994
4.8003 4.3517 2.1994
5.6659 5.5302 5.4664
5.6659 9.2927 5.4664
0.1698 2.4705 4.2355
3.3190 7.4115 0.9685
3.6585 2.4705 5.5656
6.8077 7.4115 2.2986
0.8153 7.4115 6.0592
2.6734 2.4705 2.7922
4.3040 7.4115 3.7419
6.1621 2.4705 0.4748
```

Peak list (12 most intense, 15° ≤ 2θ ≤ 90°, low angle first)
30.2°, d 2.959, rel. 22
30.4°, d 2.940, rel. 100
31.4°, d 2.850, rel. 55
31.6°, d 2.834, rel. 70
33.0°, d 2.710, rel. 32
34.3°, d 2.612, rel. 34
35.4°, d 2.538, rel. 25
41.2°, d 2.191, rel. 20
47.4°, d 1.916, rel. 23
55.2°, d 1.663, rel. 24
56.0°, d 1.643, rel. 41
58.0°, d 1.590, rel. 27

[2]
The following is a simulated XRD peak list of Hf11Zn9Rh4. It was derived from a crystal structure in Alexandria, relaxed with PBE, using Cu Ka.
No peak broadening, texture or thermal motion is included.

Atomic structure:
```
Hf11Zn9Rh4
1.0
6.6199 -9.9936 0.0000
6.6199 9.9936 0.0000
0.0000 0.0000 3.2851
Hf Zn Rh
11 9 4
Cartesian
0.0000 0.0000 0.0000
3.1323 3.4510 0.0000
6.6199 6.7537 0.0000
3.8935 0.0000 0.0000
6.6199 2.7284 0.0000
3.1323 -3.4510 0.0000
10.1075 3.4510 0.0000
6.6199 -2.7284 0.0000
9.3463 0.0000 0.0000
6.6199 -6.7537 0.0000
10.1075 -3.4510 0.0000
1.8255 1.4393 1.6425
5.2306 4.7815 1.6425
1.8255 -1.4393 1.6425
8.0093 4.7815 1.6425
6.6199 0.0000 1.6425
5.2306 -4.7815 1.6425
11.4143 1.4393 1.6425
8.0093 -4.7815 1.6425
11.4143 -1.4393 1.6425
4.5856 2.0244 1.6425
4.5856 -2.0244 1.6425
8.6542 2.0244 1.6425
8.6542 -2.0244 1.6425
```

Peak list (12 most intense, 15° ≤ 2θ ≤ 90°, low angle first)
26.8°, d 3.331, rel. 16
26.9°, d 3.310, rel. 16
27.1°, d 3.285, rel. 14
35.4°, d 2.536, rel. 18
36.7°, d 2.450, rel. 24
38.3°, d 2.348, rel. 78
38.5°, d 2.339, rel. 100
38.6°, d 2.332, rel. 90
41.0°, d 2.200, rel. 20
55.5°, d 1.655, rel. 12
56.0°, d 1.643, rel. 23
69.9°, d 1.346, rel. 26

[3]
The following is a simulated XRD peak list of Be5Tc3. It was derived from a crystal structure in Alexandria, relaxed with PBE, using Cu Ka.
No peak broadening, texture or thermal motion is included.

Atomic structure:
```
Be5Tc3
1.0
4.2776 0.0000 0.0000
2.1035 6.3956 0.0000
2.1040 -0.4363 6.3856
Be Tc
10 6
Cartesian
1.0587 0.8844 1.5236
3.1457 1.6268 4.4207
2.1200 -0.1935 3.1737
3.2011 5.0761 1.2628
3.1850 1.5243 2.2026
5.3001 4.4350 4.1830
5.2840 0.8832 5.1228
6.3651 6.1528 3.2119
5.3394 4.3325 1.9649
7.4264 5.0748 4.8620
3.1547 3.6773 3.1151
4.2257 3.1925 5.9733
3.1888 -0.3073 5.6975
5.2963 6.2665 0.6881
4.2594 2.7667 0.4122
5.3304 2.2820 3.2705
```

Peak list (12 most intense, 15° ≤ 2θ ≤ 90°, low angle first)
28.0°, d 3.192, rel. 100
30.2°, d 2.963, rel. 98
30.7°, d 2.915, rel. 48
32.2°, d 2.780, rel. 45
41.3°, d 2.184, rel. 23
42.1°, d 2.146, rel. 24
45.4°, d 1.998, rel. 82
46.7°, d 1.945, rel. 37
47.2°, d 1.927, rel. 27
47.5°, d 1.915, rel. 28
47.9°, d 1.898, rel. 34
54.8°, d 1.674, rel. 28

[4]
The following is a simulated XRD peak list of Sr3P2I. It was derived from a crystal structure in Alexandria, relaxed with PBE, using Cu Ka.
No peak broadening, texture or thermal motion is included.

Atomic structure:
```
Sr3P2I
1.0
8.1085 0.0000 0.0000
-4.0542 7.0222 0.0000
0.0000 0.0000 7.5129
Sr P I
6 4 2
Cartesian
-1.6351 2.8321 1.8782
-2.4191 4.1901 5.6347
3.2702 0.0000 1.8782
1.6351 2.8321 5.6347
4.8383 0.0000 5.6347
2.4191 4.1901 1.8782
0.0000 4.6814 0.0000
0.0000 4.6814 3.7565
4.0542 2.3407 0.0000
4.0542 2.3407 3.7565
0.0000 0.0000 1.8782
0.0000 0.0000 5.6347
```

Peak list (12 most intense, 15° ≤ 2θ ≤ 90°, low angle first)
23.7°, d 3.756, rel. 52
25.0°, d 3.568, rel. 87
25.4°, d 3.511, rel. 73
26.9°, d 3.312, rel. 22
35.0°, d 2.565, rel. 100
35.9°, d 2.503, rel. 28
38.5°, d 2.341, rel. 42
41.7°, d 2.168, rel. 24
42.4°, d 2.131, rel. 21
48.3°, d 1.885, rel. 32
62.8°, d 1.481, rel. 33
71.8°, d 1.315, rel. 23

[5]
The following is a simulated XRD peak list of Dy5Mg4Cd2. It was derived from a crystal structure in Alexandria, relaxed with PBE, using Cu Ka.
No peak broadening, texture or thermal motion is included.

Atomic structure:
```
Dy5Mg4Cd2
1.0
8.4144 0.0000 0.0000
0.0000 19.1003 0.0000
0.0000 0.0000 3.6874
Dy Mg Cd
10 8 4
Cartesian
0.0000 0.0000 0.0000
0.9786 8.1306 0.0000
1.9803 3.8661 0.0000
2.2269 13.4162 0.0000
3.2286 17.6808 0.0000
4.2072 9.5502 0.0000
5.1858 1.4196 0.0000
6.1875 5.6841 0.0000
6.4341 15.2342 0.0000
7.4358 10.9697 0.0000
0.7574 16.2485 1.8437
1.7433 10.7444 1.8437
2.4639 1.1942 1.8437
3.4498 6.6984 1.8437
4.9646 12.4020 1.8437
5.9505 17.9061 1.8437
6.6711 8.3559 1.8437
7.6570 2.8518 1.8437
0.3077 5.7298 1.8437
3.8996 15.2800 1.8437
4.5149 3.8204 1.8437
8.1068 13.3705 1.8437
```

Peak list (12 most intense, 15° ≤ 2θ ≤ 90°, low angle first)
17.5°, d 5.077, rel. 32
21.4°, d 4.153, rel. 55
24.1°, d 3.687, rel. 30
32.3°, d 2.774, rel. 23
32.5°, d 2.757, rel. 100
33.3°, d 2.691, rel. 36
33.7°, d 2.663, rel. 100
34.6°, d 2.596, rel. 41
35.3°, d 2.542, rel. 33
35.5°, d 2.530, rel. 68
49.4°, d 1.844, rel. 26
67.9°, d 1.380, rel. 22

[6]
The following is a simulated XRD peak list of SrAgAu10. It was derived from a crystal structure in Alexandria, relaxed with PBE, using Cu Ka.
No peak broadening, texture or thermal motion is included.

Atomic structure:
```
SrAgAu10
1.0
4.7126 0.0000 0.0000
0.0000 5.5569 0.0000
0.0000 0.0000 9.7068
Sr Ag Au
1 1 10
Cartesian
0.0000 0.0000 0.0000
0.0000 2.7785 4.8534
0.0000 0.0000 3.3402
0.0000 0.0000 6.3666
0.0000 2.7785 1.8251
0.0000 2.7785 7.8817
2.3563 0.0000 4.8534
2.3563 1.3743 2.4140
2.3563 1.3743 7.2928
2.3563 2.7785 0.0000
2.3563 4.1827 2.4140
2.3563 4.1827 7.2928
```

Peak list (12 most intense, 15° ≤ 2θ ≤ 90°, low angle first)
18.3°, d 4.853, rel. 31
18.4°, d 4.823, rel. 49
37.3°, d 2.411, rel. 25
37.4°, d 2.405, rel. 100
37.6°, d 2.393, rel. 52
38.2°, d 2.356, rel. 62
41.9°, d 2.157, rel. 32
42.1°, d 2.147, rel. 80
42.7°, d 2.118, rel. 20
60.9°, d 1.521, rel. 24
66.9°, d 1.398, rel. 21
79.8°, d 1.202, rel. 26

[7]
The following is a simulated XRD peak list of Dy2HfSb3. It was derived from a crystal structure in Alexandria, relaxed with PBE, using Cu Ka.
No peak broadening, texture or thermal motion is included.

Atomic structure:
```
Dy2HfSb3
1.0
-2.1432 2.1432 9.0649
2.1432 -2.1432 9.0649
2.1432 2.1432 -9.0649
Dy Hf Sb
2 1 3
Cartesian
0.0000 0.0000 3.0628
0.0000 0.0000 15.0670
0.0000 0.0000 9.0649
0.0000 0.0000 0.0000
0.0000 0.0000 6.1487
0.0000 0.0000 11.9811
```

Peak list (12 most intense, 15° ≤ 2θ ≤ 90°, low angle first)
25.5°, d 3.496, rel. 5
29.5°, d 3.028, rel. 100
42.2°, d 2.141, rel. 75
49.9°, d 1.827, rel. 2
52.3°, d 1.748, rel. 27
61.2°, d 1.515, rel. 8
61.4°, d 1.511, rel. 4
67.4°, d 1.389, rel. 1
69.3°, d 1.355, rel. 23
69.5°, d 1.352, rel. 11
77.1°, d 1.237, rel. 17
77.3°, d 1.235, rel. 8

[8]
The following is a simulated XRD peak list of NiRuPt2. It was derived from a crystal structure in Alexandria, relaxed with PBE, using Cu Ka.
No peak broadening, texture or thermal motion is included.

Atomic structure:
```
NiRuPt2
1.0
-1.9123 1.9123 3.8500
1.9123 -1.9123 3.8500
1.9123 1.9123 -3.8500
Ni Ru Pt
1 1 2
Cartesian
0.0000 0.0000 0.0000
0.0000 0.0000 3.8500
1.9123 0.0000 1.9250
0.0000 1.9123 1.9250
```

Peak list (12 most intense, 15° ≤ 2θ ≤ 90°, low angle first)
23.1°, d 3.850, rel. 16
33.1°, d 2.704, rel. 13
40.8°, d 2.213, rel. 100
47.2°, d 1.925, rel. 16
47.5°, d 1.912, rel. 32
53.5°, d 1.713, rel. 7
58.9°, d 1.568, rel. 6
69.3°, d 1.357, rel. 21
69.5°, d 1.352, rel. 10
83.4°, d 1.159, rel. 13
83.8°, d 1.154, rel. 25
88.3°, d 1.107, rel. 11

[9]
The following is a simulated XRD peak list of Ba3LaY2Te6. It was derived from a crystal structure in Alexandria, relaxed with PBE, using Cu Ka.
No peak broadening, texture or thermal motion is included.

Atomic structure:
```
Ba3LaY2Te6
1.0
4.0155 -6.9469 0.0000
4.0155 6.9469 0.0000
-2.6798 0.0000 7.8544
Ba La Y Te
3 1 2 6
Cartesian
0.0000 0.0000 0.0000
4.0155 2.2640 0.0000
4.0155 -2.2640 0.0000
2.6756 0.0000 3.9272
2.6756 4.6196 3.9272
2.6756 -4.6196 3.9272
1.2979 2.3833 2.1936
-0.0818 0.0000 5.6323
1.2979 -2.3833 2.1936
4.0534 2.3833 5.6608
5.4331 0.0000 2.2221
4.0534 -2.3833 5.6608
```

Peak list (12 most intense, 15° ≤ 2θ ≤ 90°, low angle first)
26.9°, d 3.317, rel. 100
37.9°, d 2.374, rel. 36
38.9°, d 2.317, rel. 38
46.2°, d 1.964, rel. 6
47.9°, d 1.900, rel. 7
47.9°, d 1.899, rel. 13
55.4°, d 1.658, rel. 12
61.9°, d 1.498, rel. 14
63.3°, d 1.469, rel. 17
69.7°, d 1.349, rel. 8
70.4°, d 1.338, rel. 6
88.4°, d 1.106, rel. 5